CsNdSeS: theoretical X-ray diffraction stick pattern (Cu Kα, 1.54184 Å), based on a cell relaxed with GGA-PBE.
Kinematic intensities with the Lorentz-polarization factor, no thermal factor.

Structural model:
```
CsNdSeS
1.0
4.3194 0.0000 0.0000
-2.1597 3.7407 0.0000
0.0000 0.0000 16.4883
Cs Nd Se S
2 2 2 2
Direct
0.3333 0.6667 0.2578
0.6667 0.3333 0.7422
0.0000 0.0000 0.0000
0.0000 0.0000 0.5000
0.3333 0.6667 0.9004
0.6667 0.3333 0.0996
0.3333 0.6667 0.5898
0.6667 0.3333 0.4102
```

Most intense lines, 2θ from 5° to 70°, most intense first:
- 2θ 26.2, d = 3.406 Å, rel. 100.0
- 2θ 28.9, d = 3.092 Å, rel. 87.1
- 2θ 41.8, d = 2.160 Å, rel. 55.0
- 2θ 40.7, d = 2.215 Å, rel. 51.8
- 2θ 21.6, d = 4.122 Å, rel. 23.9
- 2θ 32.3, d = 2.770 Å, rel. 23.1
- 2θ 47.5, d = 1.913 Å, rel. 18.1
- 2θ 62.3, d = 1.491 Å, rel. 18.0
- 2θ 50.0, d = 1.824 Å, rel. 17.1
- 2θ 59.8, d = 1.546 Å, rel. 16.6
- 2θ 51.6, d = 1.771 Å, rel. 16.4
- 2θ 67.2, d = 1.394 Å, rel. 14.1



LaTm2: theoretical X-ray diffraction stick pattern (Cu Kα, 1.54184 Å), based on a cell relaxed with GGA-PBE.
Kinematic intensities with the Lorentz-polarization factor, no thermal factor.

Structural model:
```
LaTm2
1.0
0.0000 4.7364 4.7364
4.7364 0.0000 4.7364
4.7364 4.7364 0.0000
La Tm
2 4
Direct
0.1250 0.1250 0.1250
0.8750 0.8750 0.8750
0.0000 0.5000 0.5000
0.5000 0.0000 0.5000
0.5000 0.5000 0.0000
0.5000 0.5000 0.5000
```

Most intense lines, 2θ from 5° to 70°, most intense first:
- 2θ 31.3, d = 2.856 Å, rel. 100.0
- 2θ 32.7, d = 2.735 Å, rel. 47.7
- 2θ 50.0, d = 1.823 Å, rel. 36.2
- 2θ 54.8, d = 1.675 Å, rel. 33.0
- 2θ 26.6, d = 3.349 Å, rel. 20.4
- 2θ 65.3, d = 1.428 Å, rel. 19.8
- 2θ 64.5, d = 1.445 Å, rel. 12.7
- 2θ 16.2, d = 5.469 Å, rel. 11.5
- 2θ 47.0, d = 1.934 Å, rel. 8.7
- 2θ 38.0, d = 2.368 Å, rel. 8.4
- 2θ 62.0, d = 1.498 Å, rel. 3.8
- 2θ 41.6, d = 2.173 Å, rel. 3.4



Dy2Ho2CF5: theoretical X-ray diffraction stick pattern (Cu Kα, 1.54184 Å), based on a cell relaxed with GGA-PBE.
Kinematic intensities with the Lorentz-polarization factor, no thermal factor.

Structural model:
```
Dy2Ho2CF5
1.0
7.3097 -1.6834 0.0000
7.3097 1.6834 0.0000
-3.0451 0.0000 6.0479
Dy Ho C F
2 2 1 5
Direct
0.1869 0.1869 0.1887
0.8131 0.8131 0.8113
0.4988 0.4988 0.2380
0.5012 0.5012 0.7620
0.0000 0.0000 0.0000
0.0000 0.0000 0.5000
0.3264 0.3264 0.1052
0.3286 0.3286 0.5444
0.6714 0.6714 0.4556
0.6736 0.6736 0.8948
```

Most intense lines, 2θ from 5° to 70°, most intense first:
- 2θ 29.6, d = 3.020 Å, rel. 100.0
- 2θ 33.7, d = 2.663 Å, rel. 90.8
- 2θ 38.4, d = 2.344 Å, rel. 65.1
- 2θ 38.3, d = 2.353 Å, rel. 61.3
- 2θ 27.3, d = 3.262 Å, rel. 56.6
- 2θ 51.6, d = 1.771 Å, rel. 53.1
- 2θ 29.9, d = 2.987 Å, rel. 52.2
- 2θ 52.2, d = 1.753 Å, rel. 46.5
- 2θ 41.5, d = 2.176 Å, rel. 42.5
- 2θ 24.5, d = 3.636 Å, rel. 29.5
- 2θ 32.6, d = 2.744 Å, rel. 27.8
- 2θ 24.1, d = 3.687 Å, rel. 27.5



BaP4W2: theoretical X-ray diffraction stick pattern (Cu Kα, 1.54184 Å), based on a cell relaxed with GGA-PBE.
Kinematic intensities with the Lorentz-polarization factor, no thermal factor.

Structural model:
```
BaP4W2
1.0
0.0000 5.1316 10.2096
2.8460 0.0000 10.2096
2.8460 5.1316 0.0000
Ba P W
2 8 4
Direct
0.1250 0.1250 0.1250
0.8750 0.8750 0.8750
0.1799 0.4542 0.1884
0.1884 0.6774 0.1799
0.3226 0.8116 0.5458
0.4542 0.1799 0.6774
0.5458 0.8201 0.3226
0.6774 0.1884 0.4542
0.8116 0.3226 0.8201
0.8201 0.5458 0.8116
0.2539 0.2539 0.4961
0.4961 0.4961 0.2539
0.5039 0.5039 0.7461
0.7461 0.7461 0.5039
```

Most intense lines, 2θ from 5° to 70°, most intense first:
- 2θ 28.3, d = 3.157 Å, rel. 100.0
- 2θ 22.1, d = 4.018 Å, rel. 81.3
- 2θ 51.3, d = 1.782 Å, rel. 54.4
- 2θ 33.3, d = 2.693 Å, rel. 48.3
- 2θ 36.1, d = 2.489 Å, rel. 43.4
- 2θ 37.8, d = 2.382 Å, rel. 35.8
- 2θ 35.0, d = 2.566 Å, rel. 33.5
- 2θ 17.4, d = 5.105 Å, rel. 32.8
- 2θ 18.3, d = 4.836 Å, rel. 32.3
- 2θ 50.4, d = 1.810 Å, rel. 21.4
- 2θ 40.3, d = 2.237 Å, rel. 20.2
- 2θ 50.7, d = 1.799 Å, rel. 17.7



Ta2Pt3S8: theoretical X-ray diffraction stick pattern (Cu Kα, 1.54184 Å), based on a cell relaxed with GGA-PBE.
Kinematic intensities with the Lorentz-polarization factor, no thermal factor.

Structural model:
```
Ta2Pt3S8
1.0
10.5578 0.0000 0.0000
0.0000 14.6285 0.0000
0.0000 0.0000 3.4849
Ta Pt S
4 6 16
Direct
0.2035 0.1208 0.0000
0.2965 0.6208 0.0000
0.7035 0.3792 0.0000
0.7965 0.8792 0.0000
0.0000 0.0000 0.5000
0.1336 0.7221 0.5000
0.3664 0.2221 0.5000
0.5000 0.5000 0.5000
0.6336 0.7779 0.5000
0.8664 0.2779 0.5000
0.0376 0.1578 0.5000
0.0629 0.6242 0.0000
0.2233 0.9982 0.5000
0.2429 0.2866 0.0000
0.2571 0.7866 0.0000
0.2767 0.4982 0.5000
0.4371 0.1242 0.0000
0.4624 0.6578 0.5000
0.5376 0.3422 0.5000
0.5629 0.8758 0.0000
0.7233 0.5018 0.5000
0.7429 0.2134 0.0000
0.7571 0.7134 0.0000
0.7767 0.0018 0.5000
0.9371 0.3758 0.0000
0.9624 0.8422 0.5000
```

Most intense lines, 2θ from 5° to 70°, most intense first:
- 2θ 14.7, d = 6.012 Å, rel. 100.0
- 2θ 10.3, d = 8.561 Å, rel. 53.1
- 2θ 35.6, d = 2.523 Å, rel. 46.1
- 2θ 31.4, d = 2.853 Å, rel. 35.9
- 2θ 24.9, d = 3.582 Å, rel. 28.9
- 2θ 46.3, d = 1.963 Å, rel. 26.6
- 2θ 44.8, d = 2.022 Å, rel. 24.3
- 2θ 36.8, d = 2.442 Å, rel. 22.4
- 2θ 17.9, d = 4.965 Å, rel. 18.8
- 2θ 30.7, d = 2.908 Å, rel. 18.6
- 2θ 40.1, d = 2.250 Å, rel. 18.2
- 2θ 29.7, d = 3.012 Å, rel. 16.2



Ho3Cu4Ge2Pb2: theoretical X-ray diffraction stick pattern (Cu Kα, 1.54184 Å), based on a cell relaxed with GGA-PBE.
Kinematic intensities with the Lorentz-polarization factor, no thermal factor.

Structural model:
```
Ho3Cu4Ge2Pb2
1.0
-2.1848 3.3671 7.3456
2.1848 -3.3671 7.3456
2.1848 3.3671 -7.3456
Ho Cu Ge Pb
3 4 2 2
Direct
0.0000 0.0000 0.0000
0.3775 0.8775 0.5000
0.6225 0.1225 0.5000
0.0354 0.3467 0.6887
0.3420 0.6533 0.6887
0.6580 0.3467 0.3113
0.9646 0.6533 0.3113
0.3101 0.5000 0.8101
0.6899 0.5000 0.1899
0.2201 0.2201 0.0000
0.7799 0.7799 0.0000
```

Most intense lines, 2θ from 5° to 70°, most intense first:
- 2θ 34.6, d = 2.594 Å, rel. 100.0
- 2θ 34.2, d = 2.624 Å, rel. 59.0
- 2θ 41.3, d = 2.185 Å, rel. 31.7
- 2θ 33.3, d = 2.693 Å, rel. 31.6
- 2θ 26.5, d = 3.367 Å, rel. 19.9
- 2θ 54.0, d = 1.697 Å, rel. 16.2
- 2θ 51.2, d = 1.784 Å, rel. 14.2
- 2θ 67.8, d = 1.382 Å, rel. 12.3
- 2θ 38.4, d = 2.342 Å, rel. 11.4
- 2θ 67.2, d = 1.392 Å, rel. 11.3
- 2θ 47.2, d = 1.927 Å, rel. 10.2
- 2θ 60.5, d = 1.529 Å, rel. 9.3